[1]
# LaErGe
Computed powder X-ray diffraction pattern, Cu Kα (λ = 1.5418 Å). Input: DFT lattice parameters and positions (PBE).
Kinematic intensities with the Lorentz-polarization factor, no thermal factor.

Principal peaks in the range 2θ = 10–90°, by intensity:
(hkl)	d_spacing	Rel. int.
1 1 2	2.974	100
1 1 4	2.527	72
2 0 0	2.253	52
1 0 5	2.672	31
2 0 6	1.747	28
0 0 6	2.766	27

Structural model:
abc: 4.506 4.506 16.593
angles: 90.00 90.00 90.00
Space group I4/mmm (No. 139)
One atom of each set of equivalent atoms:
La (0.000, 0.000, 0.180) x4
Er (0.000, 0.500, 0.000) x4
Ge (0.000, 0.000, 0.375) x4

=====

[2]
# La2Er3Ge3
Computed powder X-ray diffraction pattern, Cu Kα (λ = 1.5418 Å). Input: DFT lattice parameters and positions (PBE).
Kinematic intensities with the Lorentz-polarization factor, no thermal factor.

Principal peaks in the range 2θ = 10–90°, by intensity:
(hkl)	d_spacing	Rel. int.
2 1 1	2.615	100
1 1 2	2.626	70
2 1 0	2.849	36
3 0 0	2.513	32
1 0 2	3.017	32
2 1 3	1.739	30

Structural model:
abc: 8.7045 8.7045 6.5850
angles: 90.00 90.00 120.00
Space group P6_3/mcm (No. 193)
One atom of each set of equivalent atoms:
La (0.3333, 0.6667, 0.0000) x4
Er (0.0000, 0.2378, 0.2500) x6
Ge (0.0000, 0.3838, 0.7500) x6

=====

[3]
# LaErGe2Rh5
Computed powder X-ray diffraction pattern, Cu Kα (λ = 1.5418 Å). Input: DFT lattice parameters and positions (PBE).
Kinematic intensities with the Lorentz-polarization factor, no thermal factor.

Principal peaks in the range 2θ = 10–90°, by intensity:
(hkl)	d_spacing	Rel. int.
1 1 2	2.488	100
2 0 0	2.110	46
3 1 2	1.279	24
1 1 6	1.342	17
2 0 4	1.540	15
2 2 0	1.492	15

Structural model:
abc: 4.219 4.219 9.017
angles: 90.00 90.00 90.00
Space group P4/mmm (No. 123)
One atom of each set of equivalent atoms:
La (0.000, 0.000, 0.000) x1
Er (0.000, 0.000, 0.500) x1
Ge (0.500, 0.500, 0.362) x2
Rh (0.000, 0.500, 0.236) x4
Rh (0.500, 0.500, 0.000) x1

=====

[4]
# Li2Er3Ge4
Computed powder X-ray diffraction pattern, Cu Kα (λ = 1.5418 Å). Input: DFT lattice parameters and positions (PBE).
Kinematic intensities with the Lorentz-polarization factor, no thermal factor.

Principal peaks in the range 2θ = 10–90°, by intensity:
(hkl)	d_spacing	Rel. int.
1 1 2	2.599	100
3 1 -1	2.727	83
3 1 0	2.656	72
1 1 -1	3.640	49
3 1 -3	2.142	44
0 2 0	2.082	40

Structural model:
abc: 10.912 4.164 8.254
angles: 90.00 108.54 90.00
Space group C2/m (No. 12)
One atom of each set of equivalent atoms:
Li (0.182, 0.000, 0.357) x4
Er (0.000, 0.500, 0.000) x2
Er (0.129, 0.000, 0.690) x4
Ge (0.074, 0.500, 0.397) x4
Ge (0.209, 0.000, 0.068) x4

=====

[5]
# LiErGe2
Computed powder X-ray diffraction pattern, Cu Kα (λ = 1.5418 Å). Input: DFT lattice parameters and positions (PBE).
Kinematic intensities with the Lorentz-polarization factor, no thermal factor.

Principal peaks in the range 2θ = 10–90°, by intensity:
(hkl)	d_spacing	Rel. int.
1 1 1	2.442	100
1 0 0	4.287	53
1 0 1	2.972	42
2 0 0	2.144	34
3 1 1	1.288	26
2 0 2	1.486	21

Structural model:
abc: 4.287 4.287 4.124
angles: 90.00 90.00 90.00
Space group P4/mmm (No. 123)
One atom of each set of equivalent atoms:
Li (0.000, 0.000, 0.000) x1
Er (0.500, 0.500, 0.000) x1
Ge (0.000, 0.500, 0.500) x2

=====

[6]
# LiEr3Ge3
Computed powder X-ray diffraction pattern, Cu Kα (λ = 1.5418 Å). Input: DFT lattice parameters and positions (PBE).
Kinematic intensities with the Lorentz-polarization factor, no thermal factor.

Principal peaks in the range 2θ = 10–90°, by intensity:
(hkl)	d_spacing	Rel. int.
1 1 -4	2.678	100
3 1 -1	2.729	67
3 1 2	2.241	31
0 2 0	2.126	29
3 1 -4	2.382	20
0 0 6	2.160	16

Structural model:
abc: 10.733 4.252 13.793
angles: 90.00 110.06 90.00
Space group C2/m (No. 12)
One atom of each set of equivalent atoms:
Li (0.242, 0.000, 0.406) x4
Er (0.029, 0.500, 0.379) x4
Er (0.099, 0.500, 0.922) x4
Er (0.246, 0.500, 0.223) x4
Ge (0.034, 0.000, 0.232) x4
Ge (0.124, 0.000, 0.076) x4
Ge (0.128, 0.000, 0.552) x4